The following is a simulated X-ray diffraction stick pattern of DyCdWO6. It was derived from DFT lattice parameters and positions (GGA+U), using Cu Kα (weighted mean of Kα1 and Kα2).

Most intense lines, 2θ from 10° to 80°, by intensity:
- 2θ 26.46, I = 100, (1 0 1)
- 2θ 31.89, I = 62, (1 1 0)
- 2θ 50.85, I = 49, (2 -1 2)
- 2θ 41.90, I = 29, (2 0 1)
- 2θ 53.60, I = 28, (3 -1 1)
- 2θ 37.38, I = 27, (2 -1 1)

Structure:
```
data_DyCdWO6
_cell_length_a 5.6127
_cell_length_b 5.6127
_cell_length_c 4.6728
_cell_angle_alpha 90.00
_cell_angle_beta 90.00
_cell_angle_gamma 120.00
_symmetry_space_group_name_H-M 'P 3 1 2'
_symmetry_Int_Tables_number 149
loop_
_symmetry_equiv_pos_as_xyz
'x,y,z'
'-y,x-y,z'
'-x+y,-x,z'
'-y,-x,-z'
'-x+y,y,-z'
'x,x-y,-z'
loop_
_atom_site_label
_atom_site_fract_x
_atom_site_fract_y
_atom_site_fract_z
_atom_site_occupancy
Dy1 0.0000 0.0000 0.0000 1
Cd1 0.6667 0.3333 0.5000 1
W1 0.3333 0.6667 0.0000 1
O1 0.0418 0.3741 0.2283 1
```